1.
Simulated powder diffractogram of Li2MgH2N2 for a wavelength of 1.5418 Å, from a GGA-PBE-relaxed structure.
Intensities are scaled so that the largest is 1000.

Structure:
Cell lengths 5.123, 9.724, 5.217 Å; angles 90.00, 90.00, 90.00 degrees
Space group Pbcn (No. 60)
Symmetry-distinct sites (fractional):
Li: 0.000 0.011 0.250 x4
Li: 0.000 0.254 0.250 x4
Mg: 0.000 0.261 0.750 x4
H: 0.164 0.444 0.051 x8
N: 0.228 0.141 0.497 x8

Most intense lines, 2θ from 10° to 80°, sorted by position:
2θ 18.25, 4.862 Å, rel. 917, hkl 0 2 0; 2θ 26.04, 3.421 Å, rel. 718, hkl 1 1 1; 2θ 30.60, 2.922 Å, rel. 1000, hkl 1 2 1; 2θ 37.06, 2.426 Å, rel. 342, hkl 1 3 1; 2θ 39.19, 2.299 Å, rel. 142, hkl 0 2 2; 2θ 39.78, 2.266 Å, rel. 132, hkl 2 2 0; 2θ 49.90, 1.828 Å, rel. 505, hkl 2 0 2; 2θ 51.38, 1.778 Å, rel. 408, hkl 0 4 2; 2θ 51.85, 1.763 Å, rel. 386, hkl 2 4 0; 2θ 53.57, 1.711 Å, rel. 197, hkl 2 2 2


2.
Simulated powder diffractogram of Li2MgH4Pd for a wavelength of 1.5418 Å, from a GGA-PBE-relaxed structure.
Intensities are scaled so that the largest is 1000.

Structure:
Cell lengths 3.008, 9.835, 10.517 Å; angles 90.00, 90.00, 90.00 degrees
Space group Cmcm (No. 63)
Symmetry-distinct sites (fractional):
Li: 0.000 0.122 0.046 x8
Mg: 0.000 0.412 0.250 x4
H: 0.000 0.079 0.250 x4
H: 0.000 0.189 0.623 x8
H: 0.000 0.500 0.000 x4
Pd: 0.000 0.311 0.750 x4

Most intense lines, 2θ from 10° to 80°, sorted by position:
2θ 16.86, 5.258 Å, rel. 1000, hkl 0 0 2; 2θ 18.04, 4.917 Å, rel. 234, hkl 0 2 0; 2θ 19.93, 4.454 Å, rel. 254, hkl 0 2 1; 2θ 24.79, 3.592 Å, rel. 229, hkl 0 2 2; 2θ 32.27, 2.774 Å, rel. 377, hkl 1 1 1; 2θ 34.10, 2.629 Å, rel. 209, hkl 0 0 4; 2θ 35.58, 2.523 Å, rel. 168, hkl 1 1 2; 2θ 37.57, 2.394 Å, rel. 263, hkl 0 4 1; 2θ 40.57, 2.224 Å, rel. 218, hkl 1 1 3; 2θ 44.36, 2.042 Å, rel. 241, hkl 1 3 2


3.
Simulated powder diffractogram of LiMgVH6 for a wavelength of 1.5418 Å, from a GGA-PBE-relaxed structure.
Intensities are scaled so that the largest is 1000.

Structure:
Cell lengths 4.3286, 4.3286, 8.7775 Å; angles 90.00, 90.00, 120.00 degrees
Space group P6_3/mmc (No. 194)
Symmetry-distinct sites (fractional):
Li: 0.3333 0.6667 0.2500 x2
Mg: 0.0000 0.0000 0.0000 x2
V: 0.3333 0.6667 0.7500 x2
H: 0.0151 0.5075 0.6129 x12

Most intense lines, 2θ from 10° to 80°, sorted by position:
2θ 20.23, 4.389 Å, rel. 150, hkl 0 0 2; 2θ 25.84, 3.447 Å, rel. 945, hkl 1 0 1; 2θ 31.38, 2.850 Å, rel. 1000, hkl 1 0 2; 2θ 39.05, 2.306 Å, rel. 283, hkl 1 0 3; 2θ 41.14, 2.194 Å, rel. 148, hkl 0 0 4; 2θ 41.73, 2.164 Å, rel. 483, hkl 1 1 0; 2θ 49.74, 1.833 Å, rel. 133, hkl 2 0 1; 2θ 53.13, 1.724 Å, rel. 217, hkl 2 0 2; 2θ 60.04, 1.541 Å, rel. 335, hkl 1 1 4; 2θ 69.75, 1.348 Å, rel. 173, hkl 2 1 2


4.
Simulated powder diffractogram of Li2MnH4 for a wavelength of 1.5418 Å, from a GGA-PBE-relaxed structure.
Intensities are scaled so that the largest is 1000.

Structure:
Cell lengths 4.509, 4.509, 20.350 Å; angles 90.00, 90.00, 90.00 degrees
Space group I4_1/acd (No. 142, origin choice 2)
Symmetry-distinct sites (fractional):
Li: 0.000 0.250 0.050 x16
Mn: 0.000 0.250 0.375 x8
H: 0.000 0.250 0.293 x16
H: 0.186 0.064 0.125 x16

Most intense lines, 2θ from 10° to 80°, sorted by position:
2θ 17.43, 5.088 Å, rel. 1000, hkl 0 0 4; 2θ 29.36, 3.042 Å, rel. 942, hkl 1 1 2; 2θ 35.28, 2.544 Å, rel. 130, hkl 0 0 8; 2θ 38.76, 2.323 Å, rel. 644, hkl 1 1 6; 2θ 40.00, 2.254 Å, rel. 335, hkl 2 0 0; 2θ 43.93, 2.061 Å, rel. 280, hkl 2 0 4; 2θ 53.41, 1.715 Å, rel. 190, hkl 1 1 10; 2θ 54.38, 1.687 Å, rel. 114, hkl 2 0 8; 2θ 66.19, 1.412 Å, rel. 151, hkl 3 1 2; 2θ 71.82, 1.314 Å, rel. 194, hkl 3 1 6